[1]
The following is a simulated powder XRD pattern of Ge4Se9. It was derived from a cell relaxed with GGA-PBE, using CuKα.
Kinematic intensities with the Lorentz-polarization factor, no thermal factor.

Peak list (12 most intense, 5 to 70 degrees two-theta, in order of rising 2θ)
2theta, I_rel
14.3, 100.0
15.1, 58.7
24.8, 49.6
25.4, 66.1
26.8, 35.9
28.8, 49.1
29.3, 75.0
30.5, 78.6
31.2, 55.8
45.0, 39.3
45.4, 35.5
47.5, 63.7

Structure:
```
data_Ge4Se9
_cell_length_a 18.1264
_cell_length_b 7.1668
_cell_length_c 12.3712
_cell_angle_alpha 90.00
_cell_angle_beta 90.00
_cell_angle_gamma 90.00
_symmetry_space_group_name_H-M 'P 1'
_symmetry_Int_Tables_number 1
loop_
_symmetry_equiv_pos_as_xyz
'x,y,z'
loop_
_atom_site_label
_atom_site_type_symbol
_atom_site_fract_x
_atom_site_fract_y
_atom_site_fract_z
Ge1 Ge 0.0410 0.1748 0.0000
Ge2 Ge 0.1456 0.6788 0.5054
Ge3 Ge 0.1700 0.8152 0.0799
Ge4 Ge 0.2251 0.3109 0.0686
Ge5 Ge 0.2749 0.3109 0.5686
Ge6 Ge 0.3300 0.8152 0.5799
Ge7 Ge 0.3544 0.6788 0.0054
Ge8 Ge 0.4590 0.1748 0.5000
Ge9 Ge 0.5410 0.8252 0.0000
Ge10 Ge 0.6456 0.3212 0.5054
Ge11 Ge 0.6700 0.1848 0.0799
Ge12 Ge 0.7251 0.6891 0.0686
Ge13 Ge 0.7749 0.6891 0.5686
Ge14 Ge 0.8300 0.1848 0.5799
Ge15 Ge 0.8544 0.3212 0.0054
Ge16 Ge 0.9590 0.8252 0.5000
Se1 Se 0.0074 0.3294 0.1672
Se2 Se 0.0441 0.8405 0.0253
Se3 Se 0.0544 0.7568 0.3714
Se4 Se 0.1081 0.8274 0.6715
Se5 Se 0.1480 0.3420 0.5193
Se6 Se 0.1487 0.2971 0.9111
Se7 Se 0.1791 0.5431 0.1928
Se8 Se 0.2137 0.0593 0.1967
Se9 Se 0.2447 0.7973 0.9219
Se10 Se 0.2553 0.7973 0.4219
Se11 Se 0.2863 0.0593 0.6967
Se12 Se 0.3209 0.5431 0.6928
Se13 Se 0.3513 0.2971 0.4111
Se14 Se 0.3520 0.3420 0.0193
Se15 Se 0.3919 0.8274 0.1715
Se16 Se 0.4456 0.7568 0.8714
Se17 Se 0.4559 0.8405 0.5253
Se18 Se 0.4926 0.3294 0.6672
Se19 Se 0.5074 0.6706 0.1672
Se20 Se 0.5441 0.1595 0.0253
Se21 Se 0.5544 0.2432 0.3714
Se22 Se 0.6081 0.1726 0.6715
Se23 Se 0.6480 0.6580 0.5193
Se24 Se 0.6487 0.7029 0.9111
Se25 Se 0.6791 0.4569 0.1928
Se26 Se 0.7137 0.9407 0.1967
Se27 Se 0.7447 0.2027 0.9219
Se28 Se 0.7553 0.2027 0.4219
Se29 Se 0.7863 0.9407 0.6967
Se30 Se 0.8209 0.4569 0.6928
Se31 Se 0.8513 0.7029 0.4111
Se32 Se 0.8520 0.6580 0.0193
Se33 Se 0.8919 0.1726 0.1715
Se34 Se 0.9456 0.2432 0.8714
Se35 Se 0.9559 0.1595 0.5253
Se36 Se 0.9926 0.6706 0.6672
```


[2]
The following is a simulated powder XRD pattern of K8NbSnAs5. It was derived from a cell relaxed with GGA-PBE, using CuKα.
Kinematic intensities with the Lorentz-polarization factor, no thermal factor.

Peak list (12 most intense, 5 to 70 degrees two-theta, in order of rising 2θ)
2theta, I_rel
11.2, 22.6
11.8, 39.2
13.8, 100.0
27.2, 23.1
29.2, 33.7
29.6, 22.3
30.0, 25.4
32.5, 24.4
33.2, 28.4
33.8, 20.5
34.8, 19.3
39.2, 17.3

Structure:
```
data_K8NbSnAs5
_cell_length_a 16.6171
_cell_length_b 16.6171
_cell_length_c 13.5933
_cell_angle_alpha 94.94
_cell_angle_beta 94.94
_cell_angle_gamma 33.29
_symmetry_space_group_name_H-M 'P 1'
_symmetry_Int_Tables_number 1
loop_
_symmetry_equiv_pos_as_xyz
'x,y,z'
loop_
_atom_site_label
_atom_site_type_symbol
_atom_site_fract_x
_atom_site_fract_y
_atom_site_fract_z
K1 K 0.0204 0.6846 0.5427
K2 K 0.0935 0.8659 0.6048
K3 K 0.1046 0.7681 0.2932
K4 K 0.1203 0.4318 0.1685
K5 K 0.1341 0.9065 0.8952
K6 K 0.1356 0.2154 0.7166
K7 K 0.2154 0.1356 0.2166
K8 K 0.2222 0.3087 0.4454
K9 K 0.2319 0.8954 0.2068
K10 K 0.3087 0.2222 0.9454
K11 K 0.3154 0.9796 0.9573
K12 K 0.3466 0.4233 0.1025
K13 K 0.4233 0.3466 0.6025
K14 K 0.4318 0.1203 0.6685
K15 K 0.4364 0.4857 0.8799
K16 K 0.4857 0.4364 0.3799
K17 K 0.5143 0.5636 0.6201
K18 K 0.5636 0.5143 0.1201
K19 K 0.5682 0.8797 0.3315
K20 K 0.5767 0.6534 0.3975
K21 K 0.6534 0.5767 0.8975
K22 K 0.6846 0.0204 0.0427
K23 K 0.6913 0.7778 0.0546
K24 K 0.7681 0.1046 0.7932
K25 K 0.7778 0.6913 0.5546
K26 K 0.7846 0.8644 0.7834
K27 K 0.8644 0.7846 0.2834
K28 K 0.8659 0.0935 0.1048
K29 K 0.8797 0.5682 0.8315
K30 K 0.8954 0.2319 0.7068
K31 K 0.9065 0.1341 0.3952
K32 K 0.9796 0.3154 0.4573
Nb1 Nb 0.1835 0.5037 0.8194
Nb2 Nb 0.4963 0.8165 0.6806
Nb3 Nb 0.5037 0.1835 0.3194
Nb4 Nb 0.8165 0.4963 0.1806
Sn1 Sn 0.0330 0.7854 0.9628
Sn2 Sn 0.2146 0.9670 0.5372
Sn3 Sn 0.7854 0.0330 0.4628
Sn4 Sn 0.9670 0.2146 0.0372
As1 As 0.0284 0.6221 0.9737
As2 As 0.0998 0.4706 0.6859
As3 As 0.1136 0.7017 0.7670
As4 As 0.2261 0.7126 0.0766
As5 As 0.2644 0.4535 0.3521
As6 As 0.2874 0.7739 0.4234
As7 As 0.2983 0.8864 0.7330
As8 As 0.3779 0.9716 0.5263
As9 As 0.4535 0.2644 0.8521
As10 As 0.4706 0.0998 0.1859
As11 As 0.5294 0.9002 0.8141
As12 As 0.5465 0.7356 0.1479
As13 As 0.6221 0.0284 0.4737
As14 As 0.7017 0.1136 0.2670
As15 As 0.7126 0.2261 0.5766
As16 As 0.7356 0.5465 0.6479
As17 As 0.7739 0.2874 0.9234
As18 As 0.8864 0.2983 0.2330
As19 As 0.9002 0.5294 0.3141
As20 As 0.9716 0.3779 0.0263
```


[3]
The following is a simulated powder XRD pattern of ZrMnFe. It was derived from a cell relaxed with GGA-PBE, using CuKα.
Kinematic intensities with the Lorentz-polarization factor, no thermal factor.

Peak list (12 most intense, 5 to 70 degrees two-theta, in order of rising 2θ)
2theta, I_rel
36.0, 35.7
36.3, 18.1
39.5, 100.0
42.7, 78.1
42.9, 37.4
43.3, 28.3
43.6, 55.2
45.0, 13.9
67.1, 12.6
67.2, 12.1
67.5, 12.1
69.7, 16.6

Structure:
```
data_ZrMnFe
_cell_length_a 8.0581
_cell_length_b 4.9837
_cell_length_c 4.9837
_cell_angle_alpha 59.50
_cell_angle_beta 90.00
_cell_angle_gamma 90.00
_symmetry_space_group_name_H-M 'P 1'
_symmetry_Int_Tables_number 1
loop_
_symmetry_equiv_pos_as_xyz
'x,y,z'
loop_
_atom_site_label
_atom_site_type_symbol
_atom_site_fract_x
_atom_site_fract_y
_atom_site_fract_z
Zr1 Zr 0.1847 0.0000 0.0000
Zr2 Zr 0.3117 0.6669 0.6669
Zr3 Zr 0.6883 0.6669 0.6669
Zr4 Zr 0.8153 0.0000 0.0000
Mn1 Mn 0.2456 0.3342 0.3342
Mn2 Mn 0.5000 0.1629 0.6701
Mn3 Mn 0.5000 0.6701 0.1629
Mn4 Mn 0.7544 0.3342 0.3342
Fe1 Fe 0.0000 0.5025 0.5025
Fe2 Fe 0.0000 0.5033 0.9932
Fe3 Fe 0.0000 0.9932 0.5033
Fe4 Fe 0.5000 0.1650 0.1650
```


[4]
The following is a simulated powder XRD pattern of K2TbF5. It was derived from a cell relaxed with GGA-PBE, using CuKα.
Kinematic intensities with the Lorentz-polarization factor, no thermal factor.

Peak list (12 most intense, 5 to 70 degrees two-theta, in order of rising 2θ)
2theta, I_rel
15.5, 100.0
16.1, 50.2
17.9, 24.1
24.2, 20.1
26.6, 26.9
27.7, 60.7
28.9, 74.8
29.3, 47.1
40.0, 35.3
41.0, 26.1
45.6, 24.7
50.2, 28.8

Structure:
```
data_K2TbF5
_cell_length_a 11.0249
_cell_length_b 7.3298
_cell_length_c 6.6961
_cell_angle_alpha 90.00
_cell_angle_beta 90.00
_cell_angle_gamma 90.00
_symmetry_space_group_name_H-M 'P 1'
_symmetry_Int_Tables_number 1
loop_
_symmetry_equiv_pos_as_xyz
'x,y,z'
loop_
_atom_site_label
_atom_site_type_symbol
_atom_site_fract_x
_atom_site_fract_y
_atom_site_fract_z
K1 K 0.1723 0.0026 0.0282
K2 K 0.1723 0.4974 0.0282
K3 K 0.3277 0.5026 0.5282
K4 K 0.3277 0.9974 0.5282
K5 K 0.6723 0.0026 0.4718
K6 K 0.6723 0.4974 0.4718
K7 K 0.8277 0.5026 0.9718
K8 K 0.8277 0.9974 0.9718
Tb1 Tb 0.0015 0.2500 0.5649
Tb2 Tb 0.4985 0.7500 0.0649
Tb3 Tb 0.5015 0.2500 0.9351
Tb4 Tb 0.9985 0.7500 0.4351
F1 F 0.0127 0.2500 0.8947
F2 F 0.0790 0.5335 0.6439
F3 F 0.0790 0.9665 0.6439
F4 F 0.1624 0.2500 0.3667
F5 F 0.1916 0.7500 0.3347
F6 F 0.3084 0.2500 0.8347
F7 F 0.3376 0.7500 0.8667
F8 F 0.4210 0.0335 0.1439
F9 F 0.4210 0.4665 0.1439
F10 F 0.4873 0.7500 0.3947
F11 F 0.5127 0.2500 0.6053
F12 F 0.5790 0.5335 0.8561
F13 F 0.5790 0.9665 0.8561
F14 F 0.6624 0.2500 0.1333
F15 F 0.6916 0.7500 0.1653
F16 F 0.8084 0.2500 0.6653
F17 F 0.8376 0.7500 0.6333
F18 F 0.9210 0.0335 0.3561
F19 F 0.9210 0.4665 0.3561
F20 F 0.9873 0.7500 0.1053
```


[5]
The following is a simulated powder XRD pattern of MnSiAs2. It was derived from a cell relaxed with GGA-PBE, using CuKα.
Kinematic intensities with the Lorentz-polarization factor, no thermal factor.

Peak list (12 most intense, 5 to 70 degrees two-theta, in order of rising 2θ)
2theta, I_rel
27.1, 100.0
28.9, 2.5
30.7, 5.1
32.8, 2.4
35.4, 4.4
44.0, 23.1
45.5, 42.7
52.4, 28.8
55.2, 13.1
55.9, 1.9
63.9, 6.9
68.8, 3.1

Structure:
```
data_MnSiAs2
_cell_length_a 6.8391
_cell_length_b 6.8391
_cell_length_c 6.8391
_cell_angle_alpha 129.60
_cell_angle_beta 129.60
_cell_angle_gamma 74.05
_symmetry_space_group_name_H-M 'P 1'
_symmetry_Int_Tables_number 1
loop_
_symmetry_equiv_pos_as_xyz
'x,y,z'
loop_
_atom_site_label
_atom_site_type_symbol
_atom_site_fract_x
_atom_site_fract_y
_atom_site_fract_z
Mn1 Mn 0.0000 0.0000 0.0000
Mn2 Mn 0.7500 0.2500 0.5000
Si1 Si 0.2500 0.7500 0.5000
Si2 Si 0.5000 0.5000 0.0000
As1 As 0.1476 0.1250 0.5226
As2 As 0.3750 0.8524 0.9774
As3 As 0.6024 0.6250 0.4774
As4 As 0.8750 0.3976 0.0226
```